Record 1
# Ba2SiPt
Theoretical powder X-ray diffraction pattern, Cu Kα (weighted mean of Kα1 and Kα2). Input: a structure optimized by DFT (GGA-PBE).

Atomic structure:
```
Ba2SiPt
1.0
3.7930 -2.1891 0.0000
3.7930 2.1891 0.0000
-2.4324 0.0000 8.9460
Ba Si Pt
2 1 1
Direct
0.0000 0.0000 0.0000 Ba
0.1570 0.1570 0.4889 Ba
0.4118 0.4118 0.2443 Si
0.7452 0.7452 0.2445 Pt
```

The 8 most intense peaks (5 to 70 degrees two-theta), in order of rising 2θ:
2θ = 9.89°, I = 100
2θ = 23.69°, I = 27
2θ = 26.95°, I = 27
2θ = 28.67°, I = 21
2θ = 28.90°, I = 42
2θ = 33.14°, I = 32
2θ = 35.83°, I = 16
2θ = 41.23°, I = 43

---

Record 2
# BaSi4Pt6
Theoretical powder X-ray diffraction pattern, Cu Kα (weighted mean of Kα1 and Kα2). Input: a structure optimized by DFT (GGA-PBE).

Atomic structure:
```
BaSi4Pt6
1.0
6.4592 0.0000 0.0000
2.5201 5.9647 0.0000
2.7383 2.2936 5.4170
Ba Si Pt
1 4 6
Direct
0.0000 0.0000 0.0000 Ba
0.1202 0.5837 0.6671 Si
0.4312 0.0787 0.3040 Si
0.5939 0.6979 0.9049 Si
0.7592 0.3897 0.5384 Si
0.0400 0.0110 0.4683 Pt
0.1563 0.4282 0.3925 Pt
0.4388 0.4157 0.8965 Pt
0.4691 0.6887 0.3264 Pt
0.5508 0.1003 0.5971 Pt
0.9154 0.4989 0.0772 Pt
```

The 8 most intense peaks (5 to 70 degrees two-theta), in order of rising 2θ:
2θ = 27.78°, I = 74
2θ = 30.99°, I = 74
2θ = 31.40°, I = 98
2θ = 32.03°, I = 99
2θ = 32.25°, I = 100
2θ = 32.77°, I = 76
2θ = 39.61°, I = 81
2θ = 40.33°, I = 81

---

Record 3
# BaSn8Pt2
Theoretical powder X-ray diffraction pattern, Cu Kα (weighted mean of Kα1 and Kα2). Input: a structure optimized by DFT (GGA-PBE).

Atomic structure:
```
BaSn8Pt2
1.0
6.4641 0.0000 0.0000
0.0000 6.4641 0.0000
0.0000 0.0000 8.9149
Ba Sn Pt
1 8 2
Direct
0.0000 0.0000 0.0000 Ba
0.2534 0.2534 0.3171 Sn
0.2534 0.2534 0.6829 Sn
0.2534 0.7466 0.3171 Sn
0.2534 0.7466 0.6829 Sn
0.7466 0.2534 0.3171 Sn
0.7466 0.2534 0.6829 Sn
0.7466 0.7466 0.3171 Sn
0.7466 0.7466 0.6829 Sn
0.0000 0.5000 0.5000 Pt
0.5000 0.0000 0.5000 Pt
```

The 8 most intense peaks (5 to 70 degrees two-theta), in order of rising 2θ:
2θ = 9.92°, I = 100
2θ = 21.85°, I = 44
2θ = 34.27°, I = 73
2θ = 39.43°, I = 41
2θ = 40.76°, I = 14
2θ = 41.27°, I = 46
2θ = 56.98°, I = 14
2θ = 68.21°, I = 21